Structure and simulated powder diffractogram of Na2Sm2MgTi3O10 (the GGA-PBE geometry in the Materials Project; Cu Kα).

Cell and atoms:
```
data_Na2Sm2MgTi3O10
_symmetry_space_group_name_H-M 'I -4 m 2'
_symmetry_Int_Tables_number 119
_symmetry_space_group_name_Hall 'I -4 -2'
_cell_length_a 3.927
_cell_length_b 3.927
_cell_length_c 27.127
_cell_angle_alpha 90.00
_cell_angle_beta 90.00
_cell_angle_gamma 90.00
loop_
_atom_site_label
_atom_site_type_symbol
_atom_site_fract_x
_atom_site_fract_y
_atom_site_fract_z
Na1 Na 0.000 0.000 0.189
Sm1 Sm 0.000 0.000 0.072
Mg1 Mg 0.000 0.500 0.750
Ti1 Ti 0.000 0.000 0.355
Ti2 Ti 0.000 0.000 0.500
O1 O 0.000 0.000 0.280
O2 O 0.000 0.000 0.428
O3 O 0.000 0.500 0.135
O4 O 0.000 0.500 0.501
O5 O 0.000 0.500 0.642
```

The 10 most intense peaks (5° ≤ 2θ ≤ 70°), in order of falling intensity:
6.5 deg, d = 13.563 Å, I = 100, hkl 0 0 2
32.5 deg, d = 2.758 Å, I = 67, hkl 1 0 7
32.2 deg, d = 2.777 Å, I = 40, hkl 1 1 0
46.2 deg, d = 1.963 Å, I = 35, hkl 2 0 0
57.6 deg, d = 1.600 Å, I = 26, hkl 2 1 7
42.1 deg, d = 2.148 Å, I = 25, hkl 1 1 8
28.1 deg, d = 3.181 Å, I = 21, hkl 1 0 5
22.9 deg, d = 3.886 Å, I = 21, hkl 1 0 1
37.6 deg, d = 2.391 Å, I = 14, hkl 1 0 9
58.0 deg, d = 1.589 Å, I = 14, hkl 1 1 14

=====

Structure and simulated powder diffractogram of Na2Sm2MgTi2O8 (the GGA-PBE geometry in the Materials Project; Cu Kα).

Cell and atoms:
```
data_Na2Sm2MgTi2O8
_symmetry_space_group_name_H-M 'P -4 m 2'
_symmetry_Int_Tables_number 115
_cell_length_a 3.629
_cell_length_b 3.629
_cell_length_c 16.863
_cell_angle_alpha 90.00
_cell_angle_beta 90.00
_cell_angle_gamma 90.00
loop_
_symmetry_equiv_pos_as_xyz
'x,y,z'
'y,-x,-z'
'-x,-y,z'
'-y,x,-z'
'-x,y,z'
'-y,-x,-z'
'x,-y,z'
'y,x,-z'
loop_
_atom_site_label
_atom_site_type_symbol
_atom_site_fract_x
_atom_site_fract_y
_atom_site_fract_z
Na1 Na 0.000 0.500 0.061
Sm1 Sm 0.000 0.500 0.315
Mg1 Mg 0.000 0.000 0.500
Ti1 Ti 0.000 0.500 0.817
O1 O 0.000 0.000 0.217
O2 O 0.000 0.500 0.655
O3 O 0.000 0.500 0.923
O4 O 0.500 0.500 0.217
```

The 10 most intense peaks (5° ≤ 2θ ≤ 70°), in order of falling intensity:
10.5 deg, d = 8.432 Å, I = 100, hkl 0 0 2
32.6 deg, d = 2.750 Å, I = 59, hkl 1 0 4
26.7 deg, d = 3.333 Å, I = 42, hkl 1 0 2
35.0 deg, d = 2.566 Å, I = 28, hkl 1 1 0
38.6 deg, d = 2.334 Å, I = 24, hkl 1 1 3
61.2 deg, d = 1.515 Å, I = 19, hkl 2 1 4
25.1 deg, d = 3.548 Å, I = 19, hkl 1 0 1
50.3 deg, d = 1.815 Å, I = 19, hkl 2 0 0
56.5 deg, d = 1.629 Å, I = 18, hkl 1 1 8
15.8 deg, d = 5.621 Å, I = 18, hkl 0 0 3

=====

Structure and simulated powder diffractogram of Na2Sm2MgTi2O8 (the GGA-PBE geometry in the Materials Project; Cu Kα).

Cell and atoms:
```
data_Na2Sm2MgTi2O8
_symmetry_space_group_name_H-M 'C 1 m 1'
_symmetry_Int_Tables_number 8
_cell_length_a 5.206
_cell_length_b 5.174
_cell_length_c 16.233
_cell_angle_alpha 90.00
_cell_angle_beta 95.98
_cell_angle_gamma 90.00
loop_
_symmetry_equiv_pos_as_xyz
'x,y,z'
'x,-y,z'
'x+1/2,y+1/2,z'
'x+1/2,-y+1/2,z'
loop_
_atom_site_label
_atom_site_type_symbol
_atom_site_fract_x
_atom_site_fract_y
_atom_site_fract_z
Na1 Na 0.000 0.000 0.000
Na2 Na 0.041 0.500 0.130
Sm1 Sm 0.128 0.500 0.390
Sm2 Sm 0.210 0.000 0.563
Mg1 Mg 0.426 0.500 0.766
Ti1 Ti 0.082 0.000 0.254
Ti2 Ti 0.461 0.000 0.874
O1 O 0.046 0.000 0.144
O2 O 0.129 0.000 0.426
O3 O 0.154 0.500 0.535
O4 O 0.199 0.251 0.835
O5 O 0.344 0.249 0.291
O6 O 0.496 0.000 0.984
```

The 10 most intense peaks (5° ≤ 2θ ≤ 70°), in order of falling intensity:
5.5 deg, d = 16.144 Å, I = 100, hkl 0 0 1
27.5 deg, d = 3.245 Å, I = 18, hkl 1 1 2
31.8 deg, d = 2.816 Å, I = 17, hkl 1 1 -4
11.0 deg, d = 8.072 Å, I = 14, hkl 0 0 2
34.7 deg, d = 2.587 Å, I = 14, hkl 0 2 0
30.5 deg, d = 2.928 Å, I = 13, hkl 1 1 3
28.5 deg, d = 3.136 Å, I = 12, hkl 1 1 -3
49.7 deg, d = 1.833 Å, I = 9, hkl 2 2 -1
34.5 deg, d = 2.599 Å, I = 9, hkl 2 0 -1
44.9 deg, d = 2.019 Å, I = 6, hkl 0 2 5

=====

Structure and simulated powder diffractogram of Na2Sm2MgTi2O8 (the GGA-PBE geometry in the Materials Project; Cu Kα).

Cell and atoms:
```
data_Na2Sm2MgTi2O8
_symmetry_space_group_name_H-M 'P 4 m m'
_symmetry_Int_Tables_number 99
_cell_length_a 3.665
_cell_length_b 3.665
_cell_length_c 16.491
_cell_angle_alpha 90.00
_cell_angle_beta 90.00
_cell_angle_gamma 90.00
loop_
_symmetry_equiv_pos_as_xyz
'x,y,z'
'-y,x,z'
'-x,-y,z'
'y,-x,z'
'-x,y,z'
'y,x,z'
'x,-y,z'
'-y,-x,z'
loop_
_atom_site_label
_atom_site_type_symbol
_atom_site_fract_x
_atom_site_fract_y
_atom_site_fract_z
Na1 Na 0.000 0.000 0.000
Na2 Na 0.500 0.500 0.126
Sm1 Sm 0.000 0.000 0.744
Sm2 Sm 0.500 0.500 0.576
Mg1 Mg 0.500 0.500 0.354
Ti1 Ti 0.000 0.000 0.250
Ti2 Ti 0.500 0.500 0.877
O1 O 0.000 0.000 0.141
O2 O 0.000 0.000 0.600
O3 O 0.000 0.500 0.289
O4 O 0.000 0.500 0.841
O5 O 0.500 0.500 0.710
O6 O 0.500 0.500 0.985
```

The 10 most intense peaks (5° ≤ 2θ ≤ 70°), in order of falling intensity:
5.4 deg, d = 16.491 Å, I = 100, hkl 0 0 1
32.7 deg, d = 2.739 Å, I = 26, hkl 1 0 4
26.6 deg, d = 3.349 Å, I = 24, hkl 1 0 2
34.6 deg, d = 2.592 Å, I = 20, hkl 1 1 0
10.7 deg, d = 8.245 Å, I = 18, hkl 0 0 2
29.3 deg, d = 3.050 Å, I = 17, hkl 1 0 3
60.8 deg, d = 1.524 Å, I = 12, hkl 2 1 4
49.8 deg, d = 1.833 Å, I = 11, hkl 2 0 0
48.3 deg, d = 1.886 Å, I = 8, hkl 1 1 6
44.5 deg, d = 2.038 Å, I = 8, hkl 1 1 5

=====

Structure and simulated powder diffractogram of Na2Sm2MgTi2O8 (the GGA-PBE geometry in the Materials Project; Cu Kα).

Cell and atoms:
```
data_Na2Sm2MgTi2O8
_symmetry_space_group_name_H-M 'P -4 m 2'
_symmetry_Int_Tables_number 115
_cell_length_a 3.910
_cell_length_b 3.910
_cell_length_c 12.096
_cell_angle_alpha 90.00
_cell_angle_beta 90.00
_cell_angle_gamma 90.00
loop_
_symmetry_equiv_pos_as_xyz
'x,y,z'
'y,-x,-z'
'-x,-y,z'
'-y,x,-z'
'-x,y,z'
'-y,-x,-z'
'x,-y,z'
'y,x,-z'
loop_
_atom_site_label
_atom_site_type_symbol
_atom_site_fract_x
_atom_site_fract_y
_atom_site_fract_z
Na1 Na 0.000 0.500 0.137
Sm1 Sm 0.000 0.500 0.389
Mg1 Mg 0.500 0.500 0.000
Ti1 Ti 0.000 0.500 0.757
O1 O 0.000 0.000 0.267
O2 O 0.000 0.500 0.574
O3 O 0.000 0.500 0.929
O4 O 0.500 0.500 0.251
```

The 10 most intense peaks (5° ≤ 2θ ≤ 70°), in order of falling intensity:
7.3 deg, d = 12.096 Å, I = 100, hkl 0 0 1
31.9 deg, d = 2.807 Å, I = 50, hkl 1 0 3
27.2 deg, d = 3.283 Å, I = 50, hkl 1 0 2
32.4 deg, d = 2.764 Å, I = 43, hkl 1 1 0
46.5 deg, d = 1.955 Å, I = 31, hkl 2 0 0
44.4 deg, d = 2.040 Å, I = 23, hkl 1 1 4
33.2 deg, d = 2.695 Å, I = 21, hkl 1 1 1
57.4 deg, d = 1.604 Å, I = 20, hkl 2 1 3
44.0 deg, d = 2.057 Å, I = 17, hkl 1 0 5
54.6 deg, d = 1.680 Å, I = 15, hkl 2 1 2

=====

> Which formula does entry 4 have?

Na2Sm2MgTi2O8